Record 1
Structure and calculated XRD peak list of Ho6AgHg (a structure optimized by DFT (PBE); Cu Kα, 1.54184 Å).

Main lines, most intense first (5° ≤ 2θ ≤ 70°):
(hkl), 2θ/deg, Rel. int.
1 1 4, 32.31, 100
2 0 0, 35.61, 41
3 1 4, 61.89, 31
2 0 8, 55.42, 18
2 2 0, 51.25, 15
0 0 8, 41.01, 11
2 2 8, 67.63, 10
1 1 12, 69.24, 6
1 1 6, 39.78, 4
1 1 10, 58.46, 3
2 0 6, 47.55, 3
0 0 2, 10.05, 3

Structure:
```
data_Ho6AgHg
_chemical_formula_sum 'Ho12 Ag2 Hg2'
_cell_length_a 5.0421
_cell_length_b 5.0421
_cell_length_c 17.6079
_cell_angle_alpha 90.00
_cell_angle_beta 90.00
_cell_angle_gamma 90.00
_space_group_name_H-M_alt 'I 4/m m m'
_space_group_IT_number 139
_space_group_name_Hall '-I 4 2'
loop_
_atom_site_label
_atom_site_type_symbol
_atom_site_fract_x
_atom_site_fract_y
_atom_site_fract_z
Ho1 Ho 0.0000 0.0000 0.2494
Ho2 Ho 0.0000 0.5000 0.1103
Ag1 Ag 0.0000 0.0000 0.5000
Hg1 Hg 0.0000 0.0000 0.0000
```



Record 2
Structure and calculated XRD peak list of In5Pd2Au4 (a structure optimized by DFT (PBE); Cu Kα, 1.54184 Å).

Main lines, most intense first (5° ≤ 2θ ≤ 70°):
(hkl), 2θ/deg, Rel. int.
1 4 1, 35.25, 100
2 2 1, 37.43, 72
3 2 0, 38.96, 48
1 7 0, 38.05, 39
1 5 1, 38.58, 28
2 3 1, 39.22, 28
0 0 2, 52.70, 28
1 6 0, 33.10, 23
2 1 1, 36.33, 22
0 4 1, 32.90, 21
2 6 0, 39.76, 21
3 2 2, 67.44, 20

Structure:
```
data_In5Pd2Au4
_chemical_formula_sum 'In10 Pd4 Au8'
_cell_length_a 7.1898
_cell_length_b 17.5278
_cell_length_c 3.4739
_cell_angle_alpha 90.00
_cell_angle_beta 90.00
_cell_angle_gamma 90.00
_space_group_name_H-M_alt 'P b a m'
_space_group_IT_number 55
loop_
_space_group_symop_operation_xyz
'x,y,z'
'-x,-y,-z'
'-x,-y,z'
'x,y,-z'
'x+1/2,-y+1/2,-z'
'-x+1/2,y+1/2,z'
'-x+1/2,y+1/2,-z'
'x+1/2,-y+1/2,z'
loop_
_atom_site_label
_atom_site_type_symbol
_atom_site_fract_x
_atom_site_fract_y
_atom_site_fract_z
In1 In 0.0000 0.0000 0.0000
In2 In 0.1179 0.4215 0.0000
In3 In 0.2313 0.2124 0.0000
Pd1 Pd 0.0312 0.3027 0.5000
Au1 Au 0.0791 0.8559 0.5000
Au2 Au 0.2181 0.5669 0.5000
```



Record 3
Structure and calculated XRD peak list of InPbS (a structure optimized by DFT (PBE); Cu Kα, 1.54184 Å).

Main lines, most intense first (5° ≤ 2θ ≤ 70°):
(hkl), 2θ/deg, Rel. int.
1 0 1, 30.60, 100
0 1 2, 39.08, 33
1 1 0, 48.18, 22
0 0 2, 27.46, 18
1 0 0, 27.26, 18
0 2 1, 58.16, 16
1 0 3, 50.55, 16
1 1 2, 56.35, 15
0 1 4, 64.01, 10
0 0 1, 13.63, 9
1 1 3, 65.59, 9
2 0 2, 63.70, 8

Structure:
```
data_InPbS
_chemical_formula_sum 'In1 Pb1 S1'
_cell_length_a 3.7773
_cell_length_b 3.7773
_cell_length_c 6.4955
_cell_angle_alpha 90.00
_cell_angle_beta 90.00
_cell_angle_gamma 120.00
_space_group_name_H-M_alt 'P 3 m 1'
_space_group_IT_number 156
loop_
_space_group_symop_operation_xyz
'x,y,z'
'-y,x-y,z'
'-x+y,-x,z'
'-y,-x,z'
'-x+y,y,z'
'x,x-y,z'
loop_
_atom_site_label
_atom_site_type_symbol
_atom_site_fract_x
_atom_site_fract_y
_atom_site_fract_z
In1 In 0.0000 0.0000 0.0000
Pb1 Pb 0.3333 0.6667 0.5785
S1 S 0.6667 0.3333 0.2509
```